[1]
Theoretical powder diffraction line list of CrMoH2S for λ = 1.5418 Å (Cu Kα), from a crystal structure in Alexandria, relaxed with GGA-PBE.
Intensities are scaled so that the largest is 100.

Structural model:
```
CrMoH2S
1.0
3.429 0.000 0.000
0.000 3.429 0.000
0.000 0.000 5.171
Cr Mo H S
1 1 2 1
Direct
0.000 0.000 0.000
0.500 0.500 0.000
0.000 0.500 0.500
0.500 0.000 0.500
0.500 0.500 0.500
```

Peak list (12 most intense, 10° ≤ 2θ ≤ 90°, in order of rising 2θ)
d/Å	I (rel.)
5.171	100
3.429	35
2.586	47
2.425	73
2.195	48
2.064	16
1.769	53
1.714	25
1.627	17
1.429	26
1.141	12
1.098	11

[2]
Theoretical powder diffraction line list of Ag4Hg3Cl12 for λ = 1.5418 Å (Cu Kα), from a crystal structure in Alexandria, relaxed with GGA-PBE.
Intensities are scaled so that the largest is 100.

Structural model:
```
Ag4Hg3Cl12
1.0
-5.002 5.002 5.002
5.002 -5.002 5.002
5.002 5.002 -5.002
Ag Hg Cl
4 3 12
Direct
0.000 0.000 0.500
0.000 0.500 0.000
0.500 0.000 0.000
0.500 0.500 0.500
0.000 0.500 0.500
0.500 0.000 0.500
0.500 0.500 0.000
0.130 0.314 0.816
0.184 0.498 0.314
0.184 0.870 0.686
0.314 0.184 0.498
0.314 0.816 0.130
0.498 0.314 0.184
0.502 0.686 0.816
0.686 0.184 0.870
0.686 0.816 0.502
0.816 0.130 0.314
0.816 0.502 0.686
0.870 0.686 0.184
```

Peak list (12 most intense, 10° ≤ 2θ ≤ 90°, in order of rising 2θ)
d/Å	I (rel.)
7.074	29
4.084	17
3.537	100
3.163	11
2.674	9
2.501	33
2.358	8
2.042	67
1.768	18
1.582	23
1.337	25
1.179	22

[3]
Theoretical powder diffraction line list of Cs2As2H5 for λ = 1.5418 Å (Cu Kα), from a crystal structure in Alexandria, relaxed with GGA-PBE.
Intensities are scaled so that the largest is 100.

Structural model:
```
Cs2As2H5
1.0
-8.721 3.214 3.201
8.721 -3.214 3.201
8.721 3.214 -3.201
Cs As H
4 4 10
Direct
0.000 0.136 0.136
0.000 0.364 0.363
0.000 0.636 0.637
0.000 0.864 0.864
0.465 0.234 0.731
0.503 0.734 0.269
0.528 0.028 0.500
0.528 0.528 0.000
0.186 0.358 0.829
0.186 0.858 0.329
0.491 0.139 0.639
0.491 0.352 0.852
0.499 0.639 0.148
0.499 0.852 0.361
0.499 0.904 0.095
0.529 0.358 0.171
0.529 0.858 0.671
0.809 0.404 0.905
```

Peak list (12 most intense, 10° ≤ 2θ ≤ 90°, in order of rising 2θ)
d/Å	I (rel.)
4.536	8
3.214	28
3.201	28
3.144	100
2.268	21
2.180	8
1.842	20
1.837	19
1.803	17
1.572	11
1.429	8
1.384	7